Record 1
Structure and calculated powder XRD pattern of GeS2F (a cell relaxed with PBE; a wavelength of 1.5418 Å).
Neutral-atom scattering factors, no anomalous dispersion.

```
data_GeS2F
_cell_length_a 6.361
_cell_length_b 4.773
_cell_length_c 11.735
_cell_angle_alpha 90.00
_cell_angle_beta 112.66
_cell_angle_gamma 90.00
_space_group_name_H-M_alt 'P 1 21/c 1'
_space_group_IT_number 14
loop_
_space_group_symop_operation_xyz
'x,y,z'
'-x,-y,-z'
'-x,y+1/2,-z+1/2'
'x,-y+1/2,z+1/2'
loop_
_atom_site_label
_atom_site_type_symbol
_atom_site_fract_x
_atom_site_fract_y
_atom_site_fract_z
Ge1 Ge 0.247 0.041 0.439
S1 S 0.084 0.677 0.545
S2 S 0.494 0.734 0.890
F1 F 0.143 0.221 0.293
```

The 10 most intense peaks (2θ from 10° to 90°), in order of rising 2θ:
2θ = 16.37°, 5.415 Å, I = 100.0, hkl 0 0 2; 2θ = 17.49°, 5.071 Å, I = 29.3, hkl 1 0 -2; 2θ = 20.33°, 4.368 Å, I = 69.7, hkl 0 1 1; 2θ = 23.42°, 3.798 Å, I = 33.1, hkl 1 1 -1; 2θ = 30.08°, 2.971 Å, I = 50.8, hkl 1 1 -3; 2θ = 32.44°, 2.760 Å, I = 29.0, hkl 1 1 2; 2θ = 34.05°, 2.633 Å, I = 38.1, hkl 2 1 -1; 2θ = 34.21°, 2.621 Å, I = 34.8, hkl 2 1 -2; 2θ = 42.94°, 2.106 Å, I = 23.1, hkl 1 1 -5; 2θ = 49.25°, 1.850 Å, I = 53.7, hkl 1 2 -4


Record 2
Structure and calculated powder XRD pattern of Ge2SeF6 (a cell relaxed with PBE; a wavelength of 1.5418 Å).
Neutral-atom scattering factors, no anomalous dispersion.

```
data_Ge2SeF6
_cell_length_a 14.566
_cell_length_b 12.492
_cell_length_c 3.888
_cell_angle_alpha 90.00
_cell_angle_beta 98.01
_cell_angle_gamma 90.00
_space_group_name_H-M_alt 'C 1 2/c 1'
_space_group_IT_number 15
loop_
_space_group_symop_operation_xyz
'x,y,z'
'-x,-y,-z'
'-x,y,-z+1/2'
'x,-y,z+1/2'
'x+1/2,y+1/2,z'
'-x+1/2,-y+1/2,-z'
'-x+1/2,y+1/2,-z+1/2'
'x+1/2,-y+1/2,z+1/2'
loop_
_atom_site_label
_atom_site_type_symbol
_atom_site_fract_x
_atom_site_fract_y
_atom_site_fract_z
Ge1 Ge 0.135 0.145 0.193
Se1 Se 0.000 0.443 0.750
F1 F 0.098 0.281 0.176
F2 F 0.112 0.109 0.684
F3 F 0.243 0.349 0.746
```

The 10 most intense peaks (2θ from 10° to 90°), in order of rising 2θ:
2θ = 18.79°, 4.722 Å, I = 19.1, hkl 2 2 0; 2θ = 19.79°, 4.487 Å, I = 100.0, hkl 3 1 0; 2θ = 22.22°, 4.001 Å, I = 44.0, hkl 1 3 0; 2θ = 25.77°, 3.457 Å, I = 15.8, hkl 1 1 1; 2θ = 27.21°, 3.277 Å, I = 54.2, hkl 0 2 1; 2θ = 28.55°, 3.126 Å, I = 71.7, hkl 0 4 0; 2θ = 31.84°, 2.811 Å, I = 23.5, hkl 5 1 0; 2θ = 38.10°, 2.362 Å, I = 23.1, hkl 2 4 -1; 2θ = 47.21°, 1.925 Å, I = 16.7, hkl 0 0 2; 2θ = 50.62°, 1.803 Å, I = 19.9, hkl 8 0 0


Record 3
Structure and calculated powder XRD pattern of SiGeF6 (a cell relaxed with PBE; a wavelength of 1.5418 Å).
Neutral-atom scattering factors, no anomalous dispersion.

```
data_SiGeF6
_cell_length_a 5.064
_cell_length_b 5.110
_cell_length_c 6.082
_cell_angle_alpha 109.41
_cell_angle_beta 109.53
_cell_angle_gamma 101.71
_space_group_name_H-M_alt 'P -1'
_space_group_IT_number 2
loop_
_space_group_symop_operation_xyz
'x,y,z'
'-x,-y,-z'
loop_
_atom_site_label
_atom_site_type_symbol
_atom_site_fract_x
_atom_site_fract_y
_atom_site_fract_z
Si1 Si 0.000 0.000 0.000
Ge1 Ge 0.500 0.500 0.000
F1 F 0.078 0.073 0.768
F2 F 0.216 0.776 0.999
F3 F 0.311 0.302 0.232
```

The 10 most intense peaks (2θ from 10° to 90°), in order of rising 2θ:
2θ = 17.17°, 5.165 Å, I = 100.0, hkl 0 0 1; 2θ = 22.54°, 3.945 Å, I = 47.1, hkl 1 -1 0; 2θ = 27.78°, 3.211 Å, I = 8.9, hkl 1 1 -1; 2θ = 28.40°, 3.142 Å, I = 6.9, hkl -1 1 1; 2θ = 28.54°, 3.128 Å, I = 6.5, hkl 1 -1 1; 2θ = 31.56°, 2.835 Å, I = 8.4, hkl 0 1 1; 2θ = 32.84°, 2.727 Å, I = 30.1, hkl 1 1 0; 2θ = 45.05°, 2.012 Å, I = 24.6, hkl 1 1 1; 2θ = 46.01°, 1.972 Å, I = 12.7, hkl 2 -2 0; 2θ = 50.94°, 1.793 Å, I = 6.7, hkl 2 0 -3


Record 4
Structure and calculated powder XRD pattern of SnGeF6 (a cell relaxed with PBE; a wavelength of 1.5418 Å).
Neutral-atom scattering factors, no anomalous dispersion.

```
data_SnGeF6
_cell_length_a 9.682
_cell_length_b 5.209
_cell_length_c 9.635
_cell_angle_alpha 90.00
_cell_angle_beta 103.53
_cell_angle_gamma 90.00
_space_group_name_H-M_alt 'C 1 2/c 1'
_space_group_IT_number 15
loop_
_space_group_symop_operation_xyz
'x,y,z'
'-x,-y,-z'
'-x,y,-z+1/2'
'x,-y,z+1/2'
'x+1/2,y+1/2,z'
'-x+1/2,-y+1/2,-z'
'-x+1/2,y+1/2,-z+1/2'
'x+1/2,-y+1/2,z+1/2'
loop_
_atom_site_label
_atom_site_type_symbol
_atom_site_fract_x
_atom_site_fract_y
_atom_site_fract_z
Sn1 Sn 0.000 0.240 0.250
Ge1 Ge 0.250 0.250 0.000
F1 F 0.091 0.413 0.888
F2 F 0.145 0.034 0.500
F3 F 0.201 0.365 0.162
```

The 10 most intense peaks (2θ from 10° to 90°), in order of rising 2θ:
2θ = 22.64°, 3.927 Å, I = 100.0, hkl 1 1 1; 2θ = 23.45°, 3.793 Å, I = 43.4, hkl 2 0 -2; 2θ = 29.90°, 2.989 Å, I = 17.0, hkl 2 0 2; 2θ = 32.77°, 2.733 Å, I = 27.3, hkl 3 1 -1; 2θ = 32.88°, 2.724 Å, I = 25.4, hkl 1 1 -3; 2θ = 42.08°, 2.147 Å, I = 12.9, hkl 2 2 -2; 2θ = 46.24°, 1.964 Å, I = 14.4, hkl 2 2 2; 2θ = 52.40°, 1.746 Å, I = 13.3, hkl 4 2 0; 2θ = 55.07°, 1.668 Å, I = 15.7, hkl 1 3 1; 2θ = 60.67°, 1.526 Å, I = 14.2, hkl 3 3 -1


Record 5
Structure and calculated powder XRD pattern of SrGe2F11 (a cell relaxed with PBE; a wavelength of 1.5418 Å).
Neutral-atom scattering factors, no anomalous dispersion.

```
data_SrGe2F11
_cell_length_a 10.559
_cell_length_b 9.864
_cell_length_c 9.007
_cell_angle_alpha 90.00
_cell_angle_beta 90.00
_cell_angle_gamma 90.00
_space_group_name_H-M_alt 'I m a 2'
_space_group_IT_number 46
loop_
_space_group_symop_operation_xyz
'x,y,z'
'-x,-y,z'
'-x+1/2,y,z'
'x+1/2,-y,z'
'x+1/2,y+1/2,z+1/2'
'-x+1/2,-y+1/2,z+1/2'
'-x,y+1/2,z+1/2'
'x,-y+1/2,z+1/2'
loop_
_atom_site_label
_atom_site_type_symbol
_atom_site_fract_x
_atom_site_fract_y
_atom_site_fract_z
Sr1 Sr 0.000 0.000 0.000
Ge1 Ge 0.250 0.219 0.708
Ge2 Ge 0.250 0.739 0.754
F1 F 0.129 0.187 0.109
F2 F 0.130 0.122 0.803
F3 F 0.132 0.615 0.707
F4 F 0.133 0.680 0.369
F5 F 0.250 0.086 0.558
F6 F 0.250 0.134 0.340
F7 F 0.250 0.660 0.097
```

The 10 most intense peaks (2θ from 10° to 90°), in order of rising 2θ:
2θ = 13.31°, 6.651 Å, I = 67.0, hkl 0 1 1; 2θ = 16.79°, 5.279 Å, I = 43.3, hkl 2 0 0; 2θ = 17.98°, 4.932 Å, I = 22.1, hkl 0 2 0; 2θ = 21.49°, 4.135 Å, I = 75.1, hkl 2 1 1; 2θ = 24.70°, 3.604 Å, I = 100.0, hkl 2 2 0; 2θ = 26.01°, 3.426 Å, I = 78.7, hkl 2 0 2; 2θ = 26.81°, 3.326 Å, I = 70.3, hkl 0 2 2; 2θ = 43.78°, 2.068 Å, I = 42.9, hkl 4 2 2; 2θ = 45.18°, 2.007 Å, I = 24.5, hkl 4 3 1; 2θ = 45.31°, 2.002 Å, I = 29.4, hkl 2 4 2


Record 6
Structure and calculated powder XRD pattern of SrZnGeF2 (a cell relaxed with PBE; a wavelength of 1.5418 Å).
Neutral-atom scattering factors, no anomalous dispersion.

```
data_SrZnGeF2
_cell_length_a 4.505
_cell_length_b 4.505
_cell_length_c 7.382
_cell_angle_alpha 90.00
_cell_angle_beta 90.00
_cell_angle_gamma 90.00
_space_group_name_H-M_alt 'P 4/m m m'
_space_group_IT_number 123
_space_group_name_Hall '-P 4 2'
loop_
_atom_site_label
_atom_site_type_symbol
_atom_site_fract_x
_atom_site_fract_y
_atom_site_fract_z
Sr1 Sr 0.000 0.000 0.000
Zn1 Zn 0.500 0.500 0.500
Ge1 Ge 0.000 0.000 0.500
F1 F 0.000 0.500 0.000
```

The 10 most intense peaks (2θ from 10° to 90°), in order of rising 2θ:
2θ = 19.71°, 4.505 Å, I = 36.0, hkl 1 0 0; 2θ = 23.13°, 3.845 Å, I = 41.0, hkl 1 0 1; 2θ = 24.11°, 3.691 Å, I = 100.0, hkl 0 0 2; 2θ = 28.01°, 3.185 Å, I = 67.3, hkl 1 1 0; 2θ = 30.57°, 2.925 Å, I = 28.1, hkl 1 1 1; 2θ = 31.33°, 2.855 Å, I = 22.6, hkl 1 0 2; 2θ = 37.29°, 2.411 Å, I = 63.9, hkl 1 1 2; 2θ = 40.03°, 2.252 Å, I = 50.9, hkl 2 0 0; 2θ = 47.28°, 1.923 Å, I = 61.6, hkl 2 0 2; 2θ = 63.63°, 1.462 Å, I = 23.9, hkl 2 2 2


Record 7
Structure and calculated powder XRD pattern of TbGe2F8 (a cell relaxed with PBE; a wavelength of 1.5418 Å).
Neutral-atom scattering factors, no anomalous dispersion.

```
data_TbGe2F8
_cell_length_a 10.396
_cell_length_b 5.126
_cell_length_c 5.973
_cell_angle_alpha 90.00
_cell_angle_beta 95.37
_cell_angle_gamma 90.00
_space_group_name_H-M_alt 'C 1 2/m 1'
_space_group_IT_number 12
loop_
_space_group_symop_operation_xyz
'x,y,z'
'-x,-y,-z'
'-x,y,-z'
'x,-y,z'
'x+1/2,y+1/2,z'
'-x+1/2,-y+1/2,-z'
'-x+1/2,y+1/2,-z'
'x+1/2,-y+1/2,z'
loop_
_atom_site_label
_atom_site_type_symbol
_atom_site_fract_x
_atom_site_fract_y
_atom_site_fract_z
Tb1 Tb 0.000 0.000 0.000
Ge1 Ge 0.240 0.000 0.635
F1 F 0.100 0.000 0.337
F2 F 0.108 0.500 0.170
F3 F 0.148 0.234 0.802
```

The 10 most intense peaks (2θ from 10° to 90°), in order of rising 2θ:
2θ = 19.32°, 4.594 Å, I = 95.5, hkl 1 1 0; 2θ = 21.68°, 4.098 Å, I = 62.0, hkl 2 0 -1; 2θ = 23.83°, 3.735 Å, I = 68.9, hkl 2 0 1; 2θ = 24.98°, 3.564 Å, I = 100.0, hkl 1 1 1; 2θ = 33.68°, 2.661 Å, I = 71.1, hkl 3 1 -1; 2θ = 35.01°, 2.563 Å, I = 34.5, hkl 0 2 0; 2θ = 35.27°, 2.545 Å, I = 46.9, hkl 1 1 -2; 2θ = 41.56°, 2.173 Å, I = 63.7, hkl 2 2 -1; 2θ = 45.67°, 1.986 Å, I = 46.6, hkl 3 1 2; 2θ = 50.09°, 1.821 Å, I = 23.4, hkl 4 2 0


Record 8
Structure and calculated powder XRD pattern of GeTe3F (a cell relaxed with PBE; a wavelength of 1.5418 Å).
Neutral-atom scattering factors, no anomalous dispersion.

```
data_GeTe3F
_cell_length_a 4.981
_cell_length_b 4.981
_cell_length_c 4.981
_cell_angle_alpha 90.00
_cell_angle_beta 90.00
_cell_angle_gamma 90.00
_space_group_name_H-M_alt 'P m -3 m'
_space_group_IT_number 221
_space_group_name_Hall '-P 4 2 3'
loop_
_atom_site_label
_atom_site_type_symbol
_atom_site_fract_x
_atom_site_fract_y
_atom_site_fract_z
Ge1 Ge 0.000 0.000 0.000
Te1 Te 0.000 0.500 0.500
F1 F 0.500 0.500 0.500
```

The 10 most intense peaks (2θ from 10° to 90°), in order of rising 2θ:
2θ = 17.81°, 4.981 Å, I = 7.9, hkl 1 0 0; 2θ = 31.10°, 2.876 Å, I = 100.0, hkl 1 1 1; 2θ = 36.06°, 2.491 Å, I = 60.1, hkl 2 0 0; 2θ = 40.49°, 2.228 Å, I = 3.6, hkl 2 1 0; 2θ = 51.92°, 1.761 Å, I = 41.6, hkl 2 2 0; 2θ = 61.76°, 1.502 Å, I = 42.0, hkl 3 1 1; 2θ = 64.84°, 1.438 Å, I = 13.9, hkl 2 2 2; 2θ = 76.49°, 1.245 Å, I = 6.4, hkl 4 0 0; 2θ = 84.84°, 1.143 Å, I = 17.4, hkl 3 3 1; 2θ = 87.59°, 1.114 Å, I = 18.4, hkl 4 2 0


Record 9
Structure and calculated powder XRD pattern of TlGeF3 (a cell relaxed with PBE; a wavelength of 1.5418 Å).
Neutral-atom scattering factors, no anomalous dispersion.

```
data_TlGeF3
_cell_length_a 6.4770
_cell_length_b 6.4770
_cell_length_c 18.0398
_cell_angle_alpha 90.00
_cell_angle_beta 90.00
_cell_angle_gamma 120.00
_space_group_name_H-M_alt 'R -3'
_space_group_IT_number 148
_space_group_name_Hall '-R 3'
loop_
_atom_site_label
_atom_site_type_symbol
_atom_site_fract_x
_atom_site_fract_y
_atom_site_fract_z
Tl1 Tl 0.0000 0.0000 0.1684
Ge1 Ge 0.0000 0.0000 0.3655
F1 F 0.0250 0.2591 0.5794
```

The 10 most intense peaks (2θ from 10° to 90°), in order of rising 2θ:
2θ = 14.73°, 6.013 Å, I = 43.3, hkl 0 0 3; 2θ = 18.63°, 4.763 Å, I = 37.2, hkl 0 1 2; 2θ = 25.34°, 3.515 Å, I = 59.8, hkl 1 0 4; 2θ = 27.54°, 3.239 Å, I = 100.0, hkl 1 1 0; 2θ = 29.44°, 3.034 Å, I = 32.8, hkl 0 1 5; 2θ = 31.37°, 2.851 Å, I = 43.6, hkl 2 -1 3; 2θ = 40.96°, 2.203 Å, I = 63.9, hkl 2 -1 6; 2θ = 47.38°, 1.919 Å, I = 19.5, hkl 2 1 4; 2θ = 48.70°, 1.870 Å, I = 27.3, hkl 3 0 0; 2θ = 53.78°, 1.704 Å, I = 24.5, hkl 1 1 9


Record 10
Structure and calculated powder XRD pattern of TlGeF3 (a cell relaxed with PBE; a wavelength of 1.5418 Å).
Neutral-atom scattering factors, no anomalous dispersion.

```
data_TlGeF3
_cell_length_a 15.230
_cell_length_b 3.477
_cell_length_c 7.258
_cell_angle_alpha 90.00
_cell_angle_beta 99.31
_cell_angle_gamma 90.00
_space_group_name_H-M_alt 'C 1 2/m 1'
_space_group_IT_number 12
loop_
_space_group_symop_operation_xyz
'x,y,z'
'-x,-y,-z'
'-x,y,-z'
'x,-y,z'
'x+1/2,y+1/2,z'
'-x+1/2,-y+1/2,-z'
'-x+1/2,y+1/2,-z'
'x+1/2,-y+1/2,z'
loop_
_atom_site_label
_atom_site_type_symbol
_atom_site_fract_x
_atom_site_fract_y
_atom_site_fract_z
Tl1 Tl 0.163 0.000 0.225
Ge1 Ge 0.094 0.500 0.678
F1 F 0.021 0.000 0.759
F2 F 0.154 0.500 0.925
F3 F 0.191 0.000 0.644
```

The 10 most intense peaks (2θ from 10° to 90°), in order of rising 2θ:
2θ = 18.44°, 4.810 Å, I = 22.2, hkl 2 0 1; 2θ = 23.68°, 3.757 Å, I = 29.7, hkl 4 0 0; 2θ = 24.88°, 3.578 Å, I = 100.0, hkl 0 0 2; 2θ = 28.56°, 3.126 Å, I = 23.9, hkl 4 0 1; 2θ = 28.74°, 3.107 Å, I = 68.0, hkl 1 1 -1; 2θ = 29.58°, 3.020 Å, I = 34.3, hkl 1 1 1; 2θ = 31.31°, 2.857 Å, I = 28.6, hkl 3 1 0; 2θ = 40.10°, 2.249 Å, I = 28.7, hkl 5 1 -1; 2θ = 42.25°, 2.139 Å, I = 26.7, hkl 3 1 2; 2θ = 45.68°, 1.986 Å, I = 25.4, hkl 1 1 -3


Record 11
Structure and calculated powder XRD pattern of Tl2GeF4 (a cell relaxed with PBE; a wavelength of 1.5418 Å).
Neutral-atom scattering factors, no anomalous dispersion.

```
data_Tl2GeF4
_cell_length_a 7.990
_cell_length_b 10.354
_cell_length_c 5.734
_cell_angle_alpha 90.00
_cell_angle_beta 134.11
_cell_angle_gamma 90.00
_space_group_name_H-M_alt 'C 1 m 1'
_space_group_IT_number 8
loop_
_space_group_symop_operation_xyz
'x,y,z'
'x,-y,z'
'x+1/2,y+1/2,z'
'x+1/2,-y+1/2,z'
loop_
_atom_site_label
_atom_site_type_symbol
_atom_site_fract_x
_atom_site_fract_y
_atom_site_fract_z
Tl1 Tl 0.000 0.250 0.000
Ge1 Ge 0.011 0.000 0.522
F1 F 0.032 0.000 0.213
F2 F 0.183 0.500 0.216
F3 F 0.471 0.295 0.442
```

The 10 most intense peaks (2θ from 10° to 90°), in order of rising 2θ:
2θ = 17.13°, 5.177 Å, I = 78.0, hkl 0 2 0; 2θ = 21.59°, 4.117 Å, I = 40.5, hkl 0 0 1; 2θ = 22.25°, 3.995 Å, I = 39.9, hkl 2 0 -1; 2θ = 27.68°, 3.222 Å, I = 94.6, hkl 0 2 1; 2θ = 28.22°, 3.163 Å, I = 83.1, hkl 2 2 -1; 2θ = 31.20°, 2.867 Å, I = 100.0, hkl 2 0 0; 2θ = 34.65°, 2.589 Å, I = 40.0, hkl 0 4 0; 2θ = 35.80°, 2.508 Å, I = 64.7, hkl 2 2 0; 2θ = 47.31°, 1.921 Å, I = 58.2, hkl 2 4 0; 2θ = 53.08°, 1.725 Å, I = 41.1, hkl 2 2 -3


Record 12
Structure and calculated powder XRD pattern of Tl2GeF7 (a cell relaxed with PBE; a wavelength of 1.5418 Å).
Neutral-atom scattering factors, no anomalous dispersion.

```
data_Tl2GeF7
_cell_length_a 7.004
_cell_length_b 7.332
_cell_length_c 8.839
_cell_angle_alpha 66.21
_cell_angle_beta 81.51
_cell_angle_gamma 69.14
_space_group_name_H-M_alt 'P 1'
_space_group_IT_number 1
loop_
_space_group_symop_operation_xyz
'x,y,z'
loop_
_atom_site_label
_atom_site_type_symbol
_atom_site_fract_x
_atom_site_fract_y
_atom_site_fract_z
Tl1 Tl 0.000 0.000 0.000
Tl2 Tl 0.090 0.626 0.779
Tl3 Tl 0.481 0.058 0.597
Tl4 Tl 0.661 0.572 0.170
Ge1 Ge 0.362 0.252 0.097
Ge2 Ge 0.885 0.576 0.513
F1 F 0.082 0.343 0.039
F2 F 0.165 0.476 0.571
F3 F 0.225 0.858 0.739
F4 F 0.302 0.164 0.312
F5 F 0.310 0.524 0.078
F6 F 0.394 0.362 0.859
F7 F 0.397 0.002 0.083
F8 F 0.614 0.698 0.485
F9 F 0.631 0.193 0.124
F10 F 0.831 0.791 0.894
F11 F 0.855 0.481 0.747
F12 F 0.891 0.331 0.514
F13 F 0.895 0.821 0.534
F14 F 0.943 0.680 0.296
```

The 10 most intense peaks (2θ from 10° to 90°), in order of rising 2θ:
2θ = 17.41°, 5.093 Å, I = 82.8, hkl 1 0 1; 2θ = 22.26°, 3.993 Å, I = 100.0, hkl 1 1 -1; 2θ = 22.61°, 3.932 Å, I = 85.8, hkl -1 1 1; 2θ = 24.67°, 3.609 Å, I = 55.9, hkl 1 2 1; 2θ = 26.24°, 3.396 Å, I = 62.7, hkl 2 1 0; 2θ = 27.19°, 3.279 Å, I = 60.1, hkl 1 2 2; 2θ = 27.34°, 3.262 Å, I = 40.0, hkl 1 -1 1; 2θ = 28.16°, 3.169 Å, I = 41.9, hkl 0 2 0; 2θ = 30.64°, 2.918 Å, I = 36.9, hkl 2 1 2; 2θ = 42.87°, 2.109 Å, I = 39.6, hkl 3 0 1


Record 13
Structure and calculated powder XRD pattern of Tl3Ge2F7 (a cell relaxed with PBE; a wavelength of 1.5418 Å).
Neutral-atom scattering factors, no anomalous dispersion.

```
data_Tl3Ge2F7
_cell_length_a 4.436
_cell_length_b 4.212
_cell_length_c 13.848
_cell_angle_alpha 90.00
_cell_angle_beta 93.90
_cell_angle_gamma 90.00
_space_group_name_H-M_alt 'P 1 2/m 1'
_space_group_IT_number 10
loop_
_space_group_symop_operation_xyz
'x,y,z'
'-x,-y,-z'
'-x,y,-z'
'x,-y,z'
loop_
_atom_site_label
_atom_site_type_symbol
_atom_site_fract_x
_atom_site_fract_y
_atom_site_fract_z
Tl1 Tl 0.000 0.000 0.000
Tl2 Tl 0.215 0.500 0.385
Ge1 Ge 0.313 0.000 0.772
F1 F 0.223 0.000 0.632
F2 F 0.267 0.000 0.256
F3 F 0.313 0.500 0.740
F4 F 0.500 0.500 0.000
```

The 10 most intense peaks (2θ from 10° to 90°), in order of rising 2θ:
2θ = 19.27°, 4.605 Å, I = 56.0, hkl 0 0 3; 2θ = 22.06°, 4.029 Å, I = 100.0, hkl 0 1 1; 2θ = 24.62°, 3.616 Å, I = 72.5, hkl 1 0 2; 2θ = 26.98°, 3.305 Å, I = 63.2, hkl 1 0 -3; 2θ = 30.30°, 2.950 Å, I = 78.6, hkl 1 1 1; 2θ = 31.50°, 2.841 Å, I = 74.4, hkl 1 1 -2; 2θ = 32.40°, 2.763 Å, I = 39.7, hkl 0 0 5; 2θ = 33.55°, 2.671 Å, I = 67.5, hkl 0 1 4; 2θ = 36.07°, 2.490 Å, I = 32.3, hkl 1 1 3; 2θ = 42.96°, 2.105 Å, I = 38.7, hkl 0 2 0